No. 1
This entry pairs a crystal structure of CrCd2 with its simulated powder XRD pattern. Radiation: a wavelength of 1.5418 Å. Structure: a cell relaxed with PBE.

Cell and atoms:
a b c (Å): 3.135 15.252 4.904
angles (deg): 90.00 90.00 90.00
Fractional positions:
Cr (0.000, 0.108, 0.250)
Cr (0.000, 0.892, 0.750)
Cr (0.500, 0.392, 0.750)
Cr (0.500, 0.608, 0.250)
Cd (0.000, 0.225, 0.750)
Cd (0.000, 0.445, 0.250)
Cd (0.000, 0.555, 0.750)
Cd (0.000, 0.775, 0.250)
Cd (0.500, 0.055, 0.750)
Cd (0.500, 0.275, 0.250)
Cd (0.500, 0.725, 0.750)
Cd (0.500, 0.945, 0.250)

Main lines, by angle (2θ from 10° to 90°):
33.58 deg, I 21; 35.31 deg, I 12; 36.65 deg, I 37; 38.40 deg, I 100; 39.95 deg, I 40; 50.55 deg, I 13; 62.27 deg, I 14; 67.16 deg, I 18; 73.56 deg, I 12; 74.48 deg, I 16


No. 2
This entry pairs a crystal structure of NaPaS2 with its simulated powder XRD pattern. Radiation: a wavelength of 1.5418 Å. Structure: a cell relaxed with PBE.

Cell and atoms:
a b c (Å): 8.790 8.790 6.813
angles (deg): 104.65 104.65 125.43
Fractional positions:
Na (0.059, 0.941, 0.750)
Na (0.183, 0.817, 0.250)
Na (0.817, 0.183, 0.750)
Na (0.941, 0.059, 0.250)
Pa (0.311, 0.689, 0.750)
Pa (0.435, 0.565, 0.250)
Pa (0.565, 0.435, 0.750)
Pa (0.689, 0.311, 0.250)
S (0.065, 0.442, 0.259)
S (0.204, 0.329, 0.760)
S (0.329, 0.204, 0.260)
S (0.442, 0.065, 0.759)
S (0.558, 0.935, 0.241)
S (0.671, 0.796, 0.740)
S (0.796, 0.671, 0.240)
S (0.935, 0.558, 0.741)

Main lines, by angle (2θ from 10° to 90°):
14.35 deg, I 100; 21.97 deg, I 41; 26.52 deg, I 23; 27.09 deg, I 21; 27.73 deg, I 61; 31.49 deg, I 47; 31.92 deg, I 100; 44.65 deg, I 34; 45.03 deg, I 22; 46.24 deg, I 31


No. 3
This entry pairs a crystal structure of Pm2PrHo4Th with its simulated powder XRD pattern. Radiation: a wavelength of 1.5418 Å. Structure: a cell relaxed with PBE.

Cell and atoms:
a b c (Å): 5.103 5.119 9.986
angles (deg): 90.00 90.00 90.00
Fractional positions:
Pm (0.000, 0.000, 0.000)
Pm (0.500, 0.500, 0.500)
Pr (0.000, 0.000, 0.500)
Ho (0.000, 0.500, 0.245)
Ho (0.000, 0.500, 0.755)
Ho (0.500, 0.000, 0.244)
Ho (0.500, 0.000, 0.756)
Th (0.500, 0.500, 0.000)

Main lines, by angle (2θ from 10° to 90°):
30.54 deg, I 100; 35.06 deg, I 17; 35.17 deg, I 17; 35.97 deg, I 16; 50.51 deg, I 12; 51.15 deg, I 24; 60.11 deg, I 15; 60.25 deg, I 15; 61.32 deg, I 14; 63.56 deg, I 12


No. 4
This entry pairs a crystal structure of KNaMg6O7 with its simulated powder XRD pattern. Radiation: a wavelength of 1.5418 Å. Structure: a cell relaxed with PBE.

Cell and atoms:
a b c (Å): 4.627 4.627 8.250
angles (deg): 90.00 90.00 90.00
Fractional positions:
K (0.000, 0.000, 0.000)
Na (0.000, 0.000, 0.467)
Mg (0.000, 0.500, 0.215)
Mg (0.000, 0.500, 0.717)
Mg (0.500, 0.000, 0.215)
Mg (0.500, 0.000, 0.717)
Mg (0.500, 0.500, 0.465)
Mg (0.500, 0.500, 0.961)
O (0.000, 0.000, 0.719)
O (0.000, 0.500, 0.448)
O (0.000, 0.500, 0.977)
O (0.500, 0.000, 0.448)
O (0.500, 0.000, 0.977)
O (0.500, 0.500, 0.213)
O (0.500, 0.500, 0.713)

Main lines, by angle (2θ from 10° to 90°):
10.72 deg, I 4; 29.00 deg, I 4; 35.00 deg, I 25; 38.93 deg, I 100; 43.90 deg, I 30; 56.23 deg, I 29; 60.10 deg, I 42; 67.97 deg, I 10; 73.95 deg, I 20; 83.58 deg, I 8


No. 5
This entry pairs a crystal structure of SmDyRuRh with its simulated powder XRD pattern. Radiation: a wavelength of 1.5418 Å. Structure: a cell relaxed with PBE.

Cell and atoms:
a b c (Å): 3.448 3.448 6.880
angles (deg): 90.00 90.00 90.00
Fractional positions:
Sm (0.000, 0.000, 0.000)
Dy (0.000, 0.000, 0.492)
Ru (0.500, 0.500, 0.251)
Rh (0.500, 0.500, 0.740)

Main lines, by angle (2θ from 10° to 90°):
25.86 deg, I 5; 36.89 deg, I 100; 45.60 deg, I 1; 53.12 deg, I 12; 53.26 deg, I 6; 60.00 deg, I 1; 66.47 deg, I 35; 78.44 deg, I 4; 78.56 deg, I 7; 89.97 deg, I 5


No. 6
This entry pairs a crystal structure of MnGa2S4 with its simulated powder XRD pattern. Radiation: a wavelength of 1.5418 Å. Structure: a cell relaxed with PBE.

Cell and atoms:
a b c (Å): 13.054 13.054 6.428
angles (deg): 98.96 98.96 120.54
Fractional positions:
Mn (0.000, 0.000, 0.000)
Mn (0.089, 0.911, 0.500)
Mn (0.174, 0.826, 0.000)
Mn (0.263, 0.737, 0.500)
Mn (0.828, 0.172, 0.000)
Mn (0.916, 0.084, 0.500)
Ga (0.158, 0.471, 0.896)
Ga (0.207, 0.370, 0.365)
Ga (0.287, 0.279, 0.863)
Ga (0.368, 0.198, 0.364)
Ga (0.460, 0.117, 0.866)
Ga (0.529, 0.842, 0.104)
Ga (0.561, 0.068, 0.397)
Ga (0.630, 0.793, 0.635)
Ga (0.721, 0.713, 0.137)
Ga (0.802, 0.632, 0.636)
Ga (0.883, 0.540, 0.134)
Ga (0.932, 0.439, 0.603)
S (0.017, 0.193, 0.231)
S (0.072, 0.717, 0.270)
S (0.103, 0.102, 0.728)
S (0.134, 0.612, 0.752)
S (0.192, 0.014, 0.229)
S (0.229, 0.538, 0.264)
S (0.283, 0.928, 0.730)
S (0.298, 0.444, 0.747)
S (0.364, 0.356, 0.246)
S (0.388, 0.866, 0.248)
S (0.446, 0.274, 0.747)
S (0.462, 0.771, 0.736)
S (0.533, 0.207, 0.248)
S (0.556, 0.702, 0.253)
S (0.629, 0.140, 0.765)
S (0.644, 0.636, 0.754)
S (0.702, 0.043, 0.254)
S (0.726, 0.554, 0.253)
S (0.793, 0.467, 0.752)
S (0.807, 0.983, 0.769)
S (0.860, 0.371, 0.235)
S (0.898, 0.897, 0.272)
S (0.957, 0.298, 0.746)
S (0.986, 0.808, 0.771)

Main lines, by angle (2θ from 10° to 90°):
22.04 deg, I 100; 26.82 deg, I 40; 27.77 deg, I 91; 28.27 deg, I 38; 29.16 deg, I 41; 35.53 deg, I 40; 44.01 deg, I 46; 48.17 deg, I 72; 48.60 deg, I 60; 48.87 deg, I 83


No. 7
This entry pairs a crystal structure of CaCuI3 with its simulated powder XRD pattern. Radiation: a wavelength of 1.5418 Å. Structure: a cell relaxed with PBE.

Cell and atoms:
a b c (Å): 8.440 11.958 7.500
angles (deg): 90.00 90.00 90.00
Fractional positions:
Ca (0.000, 0.000, 0.000)
Ca (0.000, 0.500, 0.000)
Ca (0.500, 0.000, 0.500)
Ca (0.500, 0.500, 0.500)
Cu (0.198, 0.250, 0.452)
Cu (0.302, 0.750, 0.952)
Cu (0.698, 0.250, 0.048)
Cu (0.802, 0.750, 0.548)
I (0.008, 0.250, 0.168)
I (0.178, 0.072, 0.650)
I (0.178, 0.428, 0.650)
I (0.322, 0.572, 0.150)
I (0.322, 0.928, 0.150)
I (0.492, 0.750, 0.668)
I (0.508, 0.250, 0.332)
I (0.678, 0.072, 0.850)
I (0.678, 0.428, 0.850)
I (0.822, 0.572, 0.350)
I (0.822, 0.928, 0.350)
I (0.992, 0.750, 0.832)

Main lines, by angle (2θ from 10° to 90°):
17.47 deg, I 44; 22.34 deg, I 18; 25.31 deg, I 100; 26.00 deg, I 21; 27.07 deg, I 22; 30.06 deg, I 23; 34.03 deg, I 34; 40.55 deg, I 22; 44.08 deg, I 19; 46.33 deg, I 42


No. 8
This entry pairs a crystal structure of Te7RhCl7 with its simulated powder XRD pattern. Radiation: a wavelength of 1.5418 Å. Structure: a cell relaxed with PBE.

Cell and atoms:
a b c (Å): 9.655 10.716 11.710
angles (deg): 69.98 66.32 68.07
Fractional positions:
Te (0.051, 0.174, 0.000)
Te (0.061, 0.645, 0.204)
Te (0.067, 0.163, 0.324)
Te (0.187, 0.453, 0.028)
Te (0.203, 0.465, 0.696)
Te (0.326, 0.740, 0.733)
Te (0.342, 0.241, 0.867)
Te (0.658, 0.759, 0.133)
Te (0.674, 0.260, 0.267)
Te (0.797, 0.535, 0.304)
Te (0.813, 0.547, 0.972)
Te (0.933, 0.837, 0.676)
Te (0.939, 0.355, 0.796)
Te (0.949, 0.826, 0.000)
Rh (0.067, 0.648, 0.847)
Rh (0.933, 0.352, 0.153)
Cl (0.027, 0.667, 0.529)
Cl (0.164, 0.992, 0.696)
Cl (0.232, 0.994, 0.175)
Cl (0.302, 0.770, 0.968)
Cl (0.315, 0.203, 0.274)
Cl (0.357, 0.751, 0.510)
Cl (0.483, 0.511, 0.261)
Cl (0.517, 0.489, 0.739)
Cl (0.643, 0.249, 0.490)
Cl (0.685, 0.797, 0.726)
Cl (0.698, 0.230, 0.032)
Cl (0.768, 0.006, 0.825)
Cl (0.836, 0.008, 0.304)
Cl (0.973, 0.333, 0.471)

Main lines, by angle (2θ from 10° to 90°):
10.40 deg, I 100; 10.99 deg, I 83; 11.16 deg, I 61; 18.35 deg, I 23; 29.06 deg, I 35; 29.71 deg, I 43; 31.91 deg, I 70; 32.63 deg, I 41; 33.31 deg, I 40; 41.48 deg, I 23


No. 9
This entry pairs a crystal structure of CsIn2Au4 with its simulated powder XRD pattern. Radiation: a wavelength of 1.5418 Å. Structure: a cell relaxed with PBE.

Cell and atoms:
a b c (Å): 7.778 7.778 7.778
angles (deg): 106.74 106.74 115.09
Fractional positions:
Cs (0.250, 0.250, 0.000)
Cs (0.750, 0.750, 0.000)
In (0.133, 0.633, 0.766)
In (0.367, 0.133, 0.500)
In (0.633, 0.867, 0.500)
In (0.867, 0.367, 0.234)
Au (0.011, 0.820, 0.500)
Au (0.180, 0.680, 0.191)
Au (0.320, 0.511, 0.500)
Au (0.489, 0.989, 0.809)
Au (0.511, 0.011, 0.191)
Au (0.680, 0.489, 0.500)
Au (0.820, 0.320, 0.809)
Au (0.989, 0.180, 0.500)

Main lines, by angle (2θ from 10° to 90°):
13.49 deg, I 27; 30.46 deg, I 75; 38.81 deg, I 19; 38.97 deg, I 100; 41.27 deg, I 21; 52.27 deg, I 16; 59.78 deg, I 10; 63.49 deg, I 34; 78.48 deg, I 10; 82.09 deg, I 10


No. 10
This entry pairs a crystal structure of Li4CaTl4 with its simulated powder XRD pattern. Radiation: a wavelength of 1.5418 Å. Structure: a cell relaxed with PBE.

Cell and atoms:
a b c (Å): 6.518 6.518 10.072
angles (deg): 90.00 90.00 90.00
Fractional positions:
Li (0.031, 0.250, 0.176)
Li (0.250, 0.031, 0.676)
Li (0.250, 0.469, 0.676)
Li (0.469, 0.250, 0.176)
Li (0.531, 0.750, 0.824)
Li (0.750, 0.531, 0.324)
Li (0.750, 0.969, 0.324)
Li (0.969, 0.750, 0.824)
Ca (0.250, 0.750, 0.250)
Ca (0.750, 0.250, 0.750)
Tl (0.016, 0.250, 0.464)
Tl (0.250, 0.016, 0.964)
Tl (0.250, 0.484, 0.964)
Tl (0.484, 0.250, 0.464)
Tl (0.516, 0.750, 0.536)
Tl (0.750, 0.516, 0.036)
Tl (0.750, 0.984, 0.036)
Tl (0.984, 0.750, 0.536)

Main lines, by angle (2θ from 10° to 90°):
17.61 deg, I 60; 22.31 deg, I 11; 28.79 deg, I 100; 29.94 deg, I 11; 35.63 deg, I 11; 38.32 deg, I 10; 38.50 deg, I 32; 39.09 deg, I 22; 43.17 deg, I 32; 64.62 deg, I 20


No. 11
This entry pairs a crystal structure of NdZr9O20 with its simulated powder XRD pattern. Radiation: a wavelength of 1.5418 Å. Structure: a cell relaxed with PBE.

Cell and atoms:
a b c (Å): 6.409 7.417 8.523
angles (deg): 74.66 77.13 70.75
Fractional positions:
Nd (0.000, 0.000, 0.000)
Zr (0.195, 0.306, 0.606)
Zr (0.201, 0.816, 0.604)
Zr (0.387, 0.100, 0.217)
Zr (0.413, 0.612, 0.210)
Zr (0.584, 0.909, 0.810)
Zr (0.606, 0.427, 0.796)
Zr (0.791, 0.701, 0.415)
Zr (0.805, 0.212, 0.402)
Zr (0.978, 0.500, 0.012)
O (0.021, 0.201, 0.168)
O (0.133, 0.557, 0.418)
O (0.144, 0.654, 0.091)
O (0.180, 0.133, 0.442)
O (0.235, 0.985, 0.751)
O (0.315, 0.514, 0.688)
O (0.345, 0.351, 0.006)
O (0.391, 0.917, 0.051)
O (0.408, 0.788, 0.371)
O (0.516, 0.308, 0.281)
O (0.535, 0.155, 0.603)
O (0.594, 0.726, 0.644)
O (0.621, 0.584, 0.965)
O (0.668, 0.128, 0.882)
O (0.725, 0.948, 0.232)
O (0.771, 0.538, 0.243)
O (0.813, 0.384, 0.560)
O (0.919, 0.909, 0.491)
O (0.927, 0.772, 0.827)
O (0.979, 0.339, 0.831)

Main lines, by angle (2θ from 10° to 90°):
28.32 deg, I 60; 28.73 deg, I 57; 30.31 deg, I 100; 33.63 deg, I 21; 34.24 deg, I 20; 34.46 deg, I 20; 47.02 deg, I 19; 48.58 deg, I 36; 48.94 deg, I 18; 51.63 deg, I 18